# Li3TiNi3O8
Theoretical X-ray diffraction stick pattern, copper Kα. Input: DFT lattice parameters and positions (PBE+U).

Principal peaks in the range 2θ = 10–90°, in order of falling intensity:
d (Å)  intensity
4.840  100
2.045  42
2.463  25
2.130  23
2.536  14
2.384  12
1.467  12
1.485  6
1.482  6
1.438  6

Atomic structure:
Lattice parameters (Å, degrees): 5.753 5.816 5.871 61.04 60.69 89.90
Atoms (fractional coordinates):
Li (0.000, 0.000, 0.000)
Li (0.000, 0.000, 0.500)
Li (0.500, 0.000, 0.000)
Ti (0.500, 0.500, 0.500)
Ni (0.000, 0.500, 0.000)
Ni (0.000, 0.500, 0.500)
Ni (0.500, 0.500, 0.000)
O (0.207, 0.704, 0.058)
O (0.244, 0.280, 0.492)
O (0.246, 0.729, 0.488)
O (0.250, 0.279, 0.970)
O (0.750, 0.721, 0.030)
O (0.754, 0.271, 0.512)
O (0.756, 0.720, 0.508)
O (0.793, 0.296, 0.942)